Calculated powder X-ray diffraction pattern
Compound: Pr3Ga2Cu3
Radiation: copper Kα
Structure: a crystal structure in Alexandria, relaxed with GGA-PBE
Neutral-atom scattering factors, no anomalous dispersion.

Largest 10 diffraction maxima, most intense first, 2θ = 10–90°:
d_spacing  I_rel
2.739  100
2.223  40
2.455  15
2.349  15
2.675  13
1.710  12
2.421  12
1.364  11
1.387  11
1.679  10

Crystal structure
Unit cell a=4.4483 b=10.7014 c=14.7328 alpha=90.00 beta=90.00 gamma=90.00
Space group Cmcm (No. 63)
One atom of each set of equivalent atoms:
Pr 0.0000 0.0979 0.2500 [4 per cell]
Pr 0.0000 0.3979 0.1026 [8 per cell]
Ga 0.0000 0.3041 0.5990 [8 per cell]
Cu 0.0000 0.1101 0.0403 [8 per cell]
Cu 0.0000 0.1917 0.7500 [4 per cell]

Calculated powder X-ray diffraction pattern
Compound: Na2DyInPb2
Radiation: copper Kα
Structure: a crystal structure in Alexandria, relaxed with GGA-PBE
Neutral-atom scattering factors, no anomalous dispersion.

Largest 10 diffraction maxima, most intense first, 2θ = 10–90°:
d_spacing  I_rel
2.830  100
2.659  91
3.707  70
2.960  52
4.070  50
2.175  48
2.366  46
2.240  36
1.627  27
2.982  23

Crystal structure
Unit cell a=4.7327 b=9.6443 c=7.5872 alpha=90.00 beta=90.00 gamma=90.00
Space group Pmc2_1 (No. 26)
One atom of each set of equivalent atoms:
Na 0.0000 0.0535 0.0000 [2 per cell]
Na 0.5000 0.1710 0.2930 [2 per cell]
Dy 0.5000 0.4568 0.9144 [2 per cell]
In 0.0000 0.3233 0.5932 [2 per cell]
Pb 0.0000 0.3708 0.1870 [2 per cell]
Pb 0.5000 0.1609 0.7274 [2 per cell]

Calculated powder X-ray diffraction pattern
Compound: Sr3Cd2Hg2
Radiation: copper Kα
Structure: a crystal structure in Alexandria, relaxed with GGA-PBE
Neutral-atom scattering factors, no anomalous dispersion.

Largest 10 diffraction maxima, most intense first, 2θ = 10–90°:
d_spacing  I_rel
2.784  100
2.989  79
1.655  51
2.934  44
2.833  31
2.208  29
3.909  27
2.306  24
4.115  24
2.582  24

Crystal structure
Unit cell a=4.4163 b=25.1115 c=4.1151 alpha=90.00 beta=90.00 gamma=90.00
Space group Cmmm (No. 65)
One atom of each set of equivalent atoms:
Sr 0.0000 0.0000 0.0000 [2 per cell]
Sr 0.0000 0.1568 0.0000 [4 per cell]
Cd 0.0000 0.4219 0.5000 [4 per cell]
Hg 0.0000 0.2886 0.5000 [4 per cell]